# AlSiO3
Simulated PXRD pattern, CuKα. Input: a cell relaxed with PBE.
Intensities are scaled so that the largest is 1000.

Largest 6 diffraction maxima, most intense first, 5 to 70 degrees two-theta:
- 2θ = 51.34°, rel. 1000, (2 0 0)
- 2θ = 35.68°, rel. 908, (1 1 0)
- 2θ = 44.07°, rel. 443, (1 1 1)
- 2θ = 64.09°, rel. 374, (2 1 1)
- 2θ = 25.02°, rel. 301, (1 0 0)
- 2θ = 57.94°, rel. 63, (2 1 0)

Atomic structure:
a b c (Å): 3.559 3.559 3.559
angles (deg): 90.00 90.00 90.00
Fractional positions:
Al (0.000, 0.000, 0.000)
Si (0.500, 0.500, 0.500)
O (0.000, 0.500, 0.500)
O (0.500, 0.000, 0.500)
O (0.500, 0.500, 0.000)

# Cs4MgTi2Ag4S8
Simulated PXRD pattern, CuKα. Input: a cell relaxed with PBE.
Intensities are scaled so that the largest is 1000.

Largest 8 diffraction maxima, most intense first, 5 to 70 degrees two-theta:
- 2θ = 31.99°, rel. 1000, (2 0 2)
- 2θ = 27.95°, rel. 840, (1 1 3)
- 2θ = 48.53°, rel. 481, (2 0 6)
- 2θ = 42.03°, rel. 397, (2 2 0)
- 2θ = 24.90°, rel. 357, (0 0 4)
- 2θ = 21.58°, rel. 342, (1 1 1)
- 2θ = 51.23°, rel. 262, (3 1 3)
- 2θ = 49.47°, rel. 246, (2 2 4)

Atomic structure:
a b c (Å): 6.080 6.080 14.303
angles (deg): 90.00 90.00 90.00
Fractional positions:
Cs (0.240, 0.240, 0.257)
Cs (0.240, 0.760, 0.743)
Cs (0.760, 0.240, 0.743)
Cs (0.760, 0.760, 0.257)
Mg (0.000, 0.000, 0.000)
Ti (0.500, 0.500, 0.000)
Ti (0.500, 0.500, 0.500)
Ag (0.000, 0.500, 0.000)
Ag (0.000, 0.500, 0.500)
Ag (0.500, 0.000, 0.000)
Ag (0.500, 0.000, 0.500)
S (0.255, 0.255, 0.901)
S (0.255, 0.745, 0.099)
S (0.286, 0.286, 0.598)
S (0.286, 0.714, 0.402)
S (0.714, 0.286, 0.402)
S (0.714, 0.714, 0.598)
S (0.745, 0.255, 0.099)
S (0.745, 0.745, 0.901)